The following is a simulated XRD peak list of Pm5DySe6. It was derived from a crystal structure in Alexandria, relaxed with GGA-PBE, using Cu Kα, 1.54184 Å.

Principal peaks in the range 10 to 90 degrees two-theta, by angle:
2θ/deg	d/Å	I (rel.)	(hkl)
26.1	3.410	18	2 0 0
30.3	2.953	100	2 0 -2
43.3	2.091	37	3 3 -1
43.4	2.086	37	2 0 2
53.7	1.707	13	2 6 -2
71.4	1.322	17	5 3 -3

Cell and atoms:
```
data_Pm5DySe6
_space_group_name_H-M_alt 'C 1 2/m 1'
_space_group_IT_number 12
_space_group_name_Hall '-C 2y'
_cell_length_a 7.2348
_cell_length_b 12.5554
_cell_length_c 7.2224
_cell_angle_alpha 90.00
_cell_angle_beta 109.59
_cell_angle_gamma 90.00
loop_
_atom_site_label
_atom_site_type_symbol
_atom_site_fract_x
_atom_site_fract_y
_atom_site_fract_z
Pm1 Pm 0.0000 0.0000 0.0000
Pm2 Pm 0.0000 0.1677 0.5000
Pm3 Pm 0.0000 0.3287 0.0000
Dy1 Dy 0.0000 0.5000 0.5000
Se1 Se 0.2435 0.5000 0.2516
Se2 Se 0.2449 0.3372 0.7452
```

The following is a simulated XRD peak list of Dy2BeGe3Pt4. It was derived from a crystal structure in Alexandria, relaxed with GGA-PBE, using Cu Kα, 1.54184 Å.

Principal peaks in the range 10 to 90 degrees two-theta, by angle:
2θ/deg	d/Å	I (rel.)	(hkl)
31.4	2.849	52	1 1 1
33.9	2.642	75	1 0 3
35.0	2.565	100	1 1 2
43.1	2.098	76	2 0 0
47.0	1.934	32	1 1 4
56.0	1.643	36	2 1 3

Cell and atoms:
```
data_Dy2BeGe3Pt4
_space_group_name_H-M_alt 'P -4 m 2'
_space_group_IT_number 115
_space_group_name_Hall 'P -4 -2'
_cell_length_a 4.1965
_cell_length_b 4.1965
_cell_length_c 10.2023
_cell_angle_alpha 90.00
_cell_angle_beta 90.00
_cell_angle_gamma 90.00
loop_
_atom_site_label
_atom_site_type_symbol
_atom_site_fract_x
_atom_site_fract_y
_atom_site_fract_z
Dy1 Dy 0.0000 0.5000 0.2376
Be1 Be 0.5000 0.5000 0.0000
Ge1 Ge 0.0000 0.0000 0.0000
Ge2 Ge 0.0000 0.5000 0.6399
Pt1 Pt 0.0000 0.0000 0.5000
Pt2 Pt 0.0000 0.5000 0.8768
Pt3 Pt 0.5000 0.5000 0.5000
```

The following is a simulated XRD peak list of Ac8Zn2Ir3. It was derived from a crystal structure in Alexandria, relaxed with GGA-PBE, using Cu Kα, 1.54184 Å.

Principal peaks in the range 10 to 90 degrees two-theta, by angle:
2θ/deg	d/Å	I (rel.)	(hkl)
11.4	7.750	50	0 0 2
26.1	3.416	100	2 0 2
29.1	3.064	51	2 0 3
33.0	2.715	32	2 0 4
37.4	2.403	44	2 0 5
41.1	2.197	57	2 2 0

Cell and atoms:
```
data_Ac8Zn2Ir3
_space_group_name_H-M_alt 'P 63 m c'
_space_group_IT_number 186
_space_group_name_Hall 'P 6c -2c'
_cell_length_a 8.7873
_cell_length_b 8.7873
_cell_length_c 15.5009
_cell_angle_alpha 90.00
_cell_angle_beta 90.00
_cell_angle_gamma 120.00
loop_
_atom_site_label
_atom_site_type_symbol
_atom_site_fract_x
_atom_site_fract_y
_atom_site_fract_z
Ac1 Ac 0.0000 0.0000 0.0000
Ac2 Ac 0.0231 0.5116 0.0008
Ac3 Ac 0.1599 0.3199 0.2864
Ac4 Ac 0.3333 0.6667 0.7972
Zn1 Zn 0.3333 0.6667 0.1531
Zn2 Zn 0.3333 0.6667 0.6005
Ir1 Ir 0.1644 0.3288 0.8947
```

The following is a simulated XRD peak list of PmSm2Sb. It was derived from a crystal structure in Alexandria, relaxed with GGA-PBE, using Cu Kα, 1.54184 Å.

Principal peaks in the range 10 to 90 degrees two-theta, by angle:
2θ/deg	d/Å	I (rel.)	(hkl)
29.6	3.014	100	1 3 1
30.6	2.919	45	0 8 0
33.5	2.678	91	1 5 1
38.8	2.320	31	2 0 0
39.1	2.303	30	0 0 2
50.2	1.816	23	2 8 0

Cell and atoms:
```
data_PmSm2Sb
_space_group_name_H-M_alt 'C m c m'
_space_group_IT_number 63
_space_group_name_Hall '-C 2c 2'
_cell_length_a 4.6407
_cell_length_b 23.3496
_cell_length_c 4.6056
_cell_angle_alpha 90.00
_cell_angle_beta 90.00
_cell_angle_gamma 90.00
loop_
_atom_site_label
_atom_site_type_symbol
_atom_site_fract_x
_atom_site_fract_y
_atom_site_fract_z
Pm1 Pm 0.0000 0.1950 0.2500
Sm1 Sm 0.0000 0.0657 0.7500
Sm2 Sm 0.0000 0.4392 0.7500
Sb1 Sb 0.0000 0.3321 0.2500
```

The following is a simulated XRD peak list of NdPOsO. It was derived from a crystal structure in Alexandria, relaxed with GGA-PBE, using Cu Kα, 1.54184 Å.

Principal peaks in the range 10 to 90 degrees two-theta, by angle:
2θ/deg	d/Å	I (rel.)	(hkl)
10.7	8.284	56	0 0 1
30.8	2.899	61	1 0 2
33.0	2.712	100	1 1 1
38.2	2.359	68	1 1 2
44.7	2.029	53	2 0 0
54.7	1.679	53	1 1 4

Cell and atoms:
```
data_NdPOsO
_space_group_name_H-M_alt 'P 4/n m m'
_space_group_IT_number 129
_cell_length_a 4.0585
_cell_length_b 4.0585
_cell_length_c 8.2836
_cell_angle_alpha 90.00
_cell_angle_beta 90.00
_cell_angle_gamma 90.00
loop_
_space_group_symop_operation_xyz
'x,y,z'
'-x,-y,-z'
'-y+1/2,x,z'
'y+1/2,-x,-z'
'-x+1/2,-y+1/2,z'
'x+1/2,y+1/2,-z'
'y,-x+1/2,z'
'-y,x+1/2,-z'
'x+1/2,-y,-z'
'-x+1/2,y,z'
'-y,-x,-z'
'y,x,z'
'-x,y+1/2,-z'
'x,-y+1/2,z'
'y+1/2,x+1/2,-z'
'-y+1/2,-x+1/2,z'
loop_
_atom_site_label
_atom_site_type_symbol
_atom_site_fract_x
_atom_site_fract_y
_atom_site_fract_z
Nd1 Nd 0.2500 0.2500 0.1420
P1 P 0.2500 0.2500 0.6447
Os1 Os 0.2500 0.7500 0.5000
O1 O 0.2500 0.7500 0.0000
```

The following is a simulated XRD peak list of Ti2Be2As. It was derived from a crystal structure in Alexandria, relaxed with GGA-PBE, using Cu Kα, 1.54184 Å.

Principal peaks in the range 10 to 90 degrees two-theta, by angle:
2θ/deg	d/Å	I (rel.)	(hkl)
21.2	4.196	35	1 1 0
32.7	2.741	78	1 1 1
33.8	2.654	31	2 1 0
39.3	2.295	100	2 0 1
42.2	2.140	52	2 1 1
48.5	1.877	47	3 1 0

Cell and atoms:
```
data_Ti2Be2As
_space_group_name_H-M_alt 'P 4/m b m'
_space_group_IT_number 127
_space_group_name_Hall '-P 4 2ab'
_cell_length_a 5.9341
_cell_length_b 5.9341
_cell_length_c 3.6192
_cell_angle_alpha 90.00
_cell_angle_beta 90.00
_cell_angle_gamma 90.00
loop_
_atom_site_label
_atom_site_type_symbol
_atom_site_fract_x
_atom_site_fract_y
_atom_site_fract_z
Ti1 Ti 0.1743 0.3257 0.0000
Be1 Be 0.1201 0.6201 0.5000
As1 As 0.0000 0.0000 0.5000
```

The following is a simulated XRD peak list of BaMgPt2F8. It was derived from a crystal structure in Alexandria, relaxed with GGA-PBE, using Cu Kα, 1.54184 Å.

Principal peaks in the range 10 to 90 degrees two-theta, by angle:
2θ/deg	d/Å	I (rel.)	(hkl)
22.7	3.924	100	1 0 1
30.9	2.890	49	0 1 2
33.5	2.672	50	1 1 0
40.9	2.208	33	0 2 1
46.3	1.962	24	2 0 2
50.3	1.812	25	2 -1 3

Cell and atoms:
```
data_BaMgPt2F8
_space_group_name_H-M_alt 'P -3'
_space_group_IT_number 147
_space_group_name_Hall '-P 3'
_cell_length_a 5.3433
_cell_length_b 5.3433
_cell_length_c 7.4004
_cell_angle_alpha 90.00
_cell_angle_beta 90.00
_cell_angle_gamma 120.00
loop_
_atom_site_label
_atom_site_type_symbol
_atom_site_fract_x
_atom_site_fract_y
_atom_site_fract_z
Ba1 Ba 0.0000 0.0000 0.0000
Mg1 Mg 0.0000 0.0000 0.5000
Pt1 Pt 0.3333 0.6667 0.6642
F1 F 0.0710 0.7528 0.3320
F2 F 0.3333 0.6667 0.9524
```

The following is a simulated XRD peak list of Nd7Sm12Pb. It was derived from a crystal structure in Alexandria, relaxed with GGA-PBE, using Cu Kα, 1.54184 Å.

Principal peaks in the range 10 to 90 degrees two-theta, by angle:
2θ/deg	d/Å	I (rel.)	(hkl)
29.7	3.012	24	0 1 5
30.1	2.968	23	0 3 3
30.3	2.947	100	4 -3 1
31.6	2.830	69	3 -1 4
31.9	2.802	52	3 1 2
33.0	2.713	30	2 0 5

Cell and atoms:
```
data_Nd7Sm12Pb
_space_group_name_H-M_alt 'R -3'
_space_group_IT_number 148
_space_group_name_Hall '-R 3'
_cell_length_a 12.4933
_cell_length_b 12.4933
_cell_length_c 15.6781
_cell_angle_alpha 90.00
_cell_angle_beta 90.00
_cell_angle_gamma 120.00
loop_
_atom_site_label
_atom_site_type_symbol
_atom_site_fract_x
_atom_site_fract_y
_atom_site_fract_z
Nd1 Nd 0.0000 0.0000 0.0000
Nd2 Nd 0.0140 0.4357 0.6999
Sm1 Sm 0.0334 0.1871 0.8093
Sm2 Sm 0.0710 0.8093 0.4242
Pb1 Pb 0.0000 0.0000 0.5000
```

The following is a simulated XRD peak list of TiNi4Pt3. It was derived from a crystal structure in Alexandria, relaxed with GGA-PBE, using Cu Kα, 1.54184 Å.

Principal peaks in the range 10 to 90 degrees two-theta, by angle:
2θ/deg	d/Å	I (rel.)	(hkl)
24.4	3.652	17	0 0 4
33.3	2.690	15	1 1 0
41.7	2.166	100	1 1 4
47.8	1.902	34	2 0 0
71.6	1.317	20	2 0 8
84.9	1.142	25	3 1 4

Cell and atoms:
```
data_TiNi4Pt3
_space_group_name_H-M_alt 'I 4/m m m'
_space_group_IT_number 139
_space_group_name_Hall '-I 4 2'
_cell_length_a 3.8038
_cell_length_b 3.8038
_cell_length_c 14.6075
_cell_angle_alpha 90.00
_cell_angle_beta 90.00
_cell_angle_gamma 90.00
loop_
_atom_site_label
_atom_site_type_symbol
_atom_site_fract_x
_atom_site_fract_y
_atom_site_fract_z
Ti1 Ti 0.0000 0.0000 0.0000
Ni1 Ni 0.0000 0.5000 0.1226
Pt1 Pt 0.0000 0.0000 0.2532
Pt2 Pt 0.0000 0.0000 0.5000
```

The following is a simulated XRD peak list of CoAgCl3. It was derived from a crystal structure in Alexandria, relaxed with GGA-PBE, using Cu Kα, 1.54184 Å.

Principal peaks in the range 10 to 90 degrees two-theta, by angle:
2θ/deg	d/Å	I (rel.)	(hkl)
22.4	3.971	82	2 2 -1
25.9	3.441	100	1 3 -1
27.0	3.299	59	2 2 1
31.3	2.860	71	3 3 -1
47.1	1.929	58	1 3 -3
48.4	1.879	67	5 3 1

Cell and atoms:
```
data_CoAgCl3
_space_group_name_H-M_alt 'C 1 2/c 1'
_space_group_IT_number 15
_space_group_name_Hall '-C 2yc'
_cell_length_a 12.9089
_cell_length_b 12.2215
_cell_length_c 6.6122
_cell_angle_alpha 90.00
_cell_angle_beta 106.24
_cell_angle_gamma 90.00
loop_
_atom_site_label
_atom_site_type_symbol
_atom_site_fract_x
_atom_site_fract_y
_atom_site_fract_z
Co1 Co 0.2004 0.0812 0.2823
Ag1 Ag 0.0000 0.2207 0.7500
Ag2 Ag 0.0000 0.3982 0.2500
Cl1 Cl 0.1189 0.4131 0.6380
Cl2 Cl 0.1250 0.2348 0.1182
Cl3 Cl 0.1423 0.0671 0.5774
```

The following is a simulated XRD peak list of RbSn3. It was derived from a crystal structure in Alexandria, relaxed with GGA-PBE, using Cu Kα, 1.54184 Å.

Principal peaks in the range 10 to 90 degrees two-theta, by angle:
2θ/deg	d/Å	I (rel.)	(hkl)
12.0	7.362	43	0 0 1
23.1	3.849	40	1 0 1
30.5	2.929	100	1 1 1
31.4	2.853	30	1 0 2
37.3	2.412	38	1 1 2
39.9	2.258	38	2 0 0

Cell and atoms:
```
data_RbSn3
_space_group_name_H-M_alt 'P 4 m m'
_space_group_IT_number 99
_space_group_name_Hall 'P 4 -2'
_cell_length_a 4.5152
_cell_length_b 4.5152
_cell_length_c 7.3618
_cell_angle_alpha 90.00
_cell_angle_beta 90.00
_cell_angle_gamma 90.00
loop_
_atom_site_label
_atom_site_type_symbol
_atom_site_fract_x
_atom_site_fract_y
_atom_site_fract_z
Rb1 Rb 0.0000 0.0000 0.0000
Sn1 Sn 0.0000 0.5000 0.5584
Sn2 Sn 0.5000 0.5000 0.2749
```

The following is a simulated XRD peak list of Ca4N. It was derived from a crystal structure in Alexandria, relaxed with GGA-PBE, using Cu Kα, 1.54184 Å.

Principal peaks in the range 10 to 90 degrees two-theta, by angle:
2θ/deg	d/Å	I (rel.)	(hkl)
15.5	5.731	15	1 1 1
28.3	3.155	18	0 4 0
28.6	3.123	25	4 0 0
31.2	2.866	100	2 2 2
31.8	2.816	25	2 4 0
40.6	2.220	15	4 4 0

Cell and atoms:
```
data_Ca4N
_space_group_name_H-M_alt 'F d d 2'
_space_group_IT_number 43
_space_group_name_Hall 'F 2 -2d'
_cell_length_a 12.4905
_cell_length_b 12.6215
_cell_length_c 7.5045
_cell_angle_alpha 90.00
_cell_angle_beta 90.00
_cell_angle_gamma 90.00
loop_
_atom_site_label
_atom_site_type_symbol
_atom_site_fract_x
_atom_site_fract_y
_atom_site_fract_z
Ca1 Ca 0.1000 0.4084 0.0000
Ca2 Ca 0.1082 0.3994 0.5338
N1 N 0.0000 0.0000 0.2805
```

The following is a simulated XRD peak list of Y2Zn16Pt. It was derived from a crystal structure in Alexandria, relaxed with GGA-PBE, using Cu Kα, 1.54184 Å.

Principal peaks in the range 10 to 90 degrees two-theta, by angle:
2θ/deg	d/Å	I (rel.)	(hkl)
13.2	6.690	55	1 0 1
34.6	2.589	59	3 0 0
40.2	2.242	95	2 2 0
40.5	2.230	100	0 3 3
41.2	2.192	63	0 0 6
45.4	1.997	83	2 2 3

Cell and atoms:
```
data_Y2Zn16Pt
_space_group_name_H-M_alt 'R 3 m'
_space_group_IT_number 160
_space_group_name_Hall 'R 3 -2"'
_cell_length_a 8.9696
_cell_length_b 8.9696
_cell_length_c 13.1613
_cell_angle_alpha 90.00
_cell_angle_beta 90.00
_cell_angle_gamma 120.00
loop_
_atom_site_label
_atom_site_type_symbol
_atom_site_fract_x
_atom_site_fract_y
_atom_site_fract_z
Y1 Y 0.0000 0.0000 0.0000
Y2 Y 0.0000 0.0000 0.3296
Zn1 Zn 0.0000 0.0000 0.5656
Zn2 Zn 0.0005 0.2930 0.6683
Zn3 Zn 0.0119 0.5059 0.8184
Zn4 Zn 0.1678 0.3355 0.5012
Zn5 Zn 0.1695 0.3390 0.8488
Pt1 Pt 0.0000 0.0000 0.7683
```